Entry 1:
Simulated powder diffractogram
Compound: Mg5SnPb2
Radiation: Cu Ka
Structure: the PBE geometry in Alexandria
Neutral-atom scattering factors, no anomalous dispersion.

Atomic structure:
a = 4.7939 Å, b = 4.7939 Å, c = 17.2556 Å
α = 90.00°, β = 90.00°, γ = 90.00°
Space group I4/mmm (No. 139)
Symmetry-distinct sites (fractional):
Mg  0.0000  0.0000  0.0000
Mg  0.0000  0.5000  0.1199
Sn  0.0000  0.0000  0.5000
Pb  0.0000  0.0000  0.2429

Peak list (10 most intense, 10° ≤ 2θ ≤ 80°, in order of falling intensity)
2.665 Å, 2θ 33.6, rel. 100, (1 1 4)
8.628 Å, 2θ 10.3, rel. 54, (0 0 2)
3.390 Å, 2θ 26.3, rel. 44, (1 1 0)
4.314 Å, 2θ 20.6, rel. 38, (0 0 4)
2.397 Å, 2θ 37.5, rel. 38, (2 0 0)
1.430 Å, 2θ 65.2, rel. 30, (3 1 4)
3.155 Å, 2θ 28.3, rel. 26, (1 1 2)
2.095 Å, 2θ 43.2, rel. 24, (2 0 4)
1.603 Å, 2θ 57.5, rel. 20, (2 0 8)
1.820 Å, 2θ 50.1, rel. 15, (1 1 8)

Entry 2:
Simulated powder diffractogram
Compound: PmYHo2Tl2
Radiation: Cu Ka
Structure: the PBE geometry in Alexandria
Neutral-atom scattering factors, no anomalous dispersion.

Atomic structure:
a = 5.1364 Å, b = 10.0379 Å, c = 6.8041 Å
α = 90.00°, β = 90.00°, γ = 90.00°
Space group Pmc2_1 (No. 26)
Symmetry-distinct sites (fractional):
Pm  0.0000  0.0412  0.0000
Y  0.5000  0.1909  0.7224
Ho  0.0000  0.3172  0.3735
Ho  0.5000  0.4571  0.0906
Tl  0.0000  0.3676  0.8376
Tl  0.5000  0.1384  0.2588

Peak list (10 most intense, 10° ≤ 2θ ≤ 80°, in order of falling intensity)
2.804 Å, 2θ 31.9, rel. 100, (1 3 0)
2.729 Å, 2θ 32.8, rel. 89, (1 1 2)
2.568 Å, 2θ 34.9, rel. 59, (2 0 0)
2.836 Å, 2θ 31.5, rel. 54, (1 0 2)
2.592 Å, 2θ 34.6, rel. 33, (1 3 1)
2.816 Å, 2θ 31.8, rel. 23, (0 2 2)
2.386 Å, 2θ 37.7, rel. 23, (0 3 2)
3.003 Å, 2θ 29.8, rel. 18, (0 3 1)
1.748 Å, 2θ 52.3, rel. 18, (2 3 2)
1.524 Å, 2θ 60.8, rel. 16, (3 3 0)